1.
This entry pairs a crystal structure of DyYGaIr with its calculated powder diffractogram. Radiation: Cu Kα (λ = 1.5418 Å). Structure: a PBE-relaxed structure.

Cell and atoms:
```
data_DyYGaIr
_chemical_formula_sum 'Dy1 Y1 Ga1 Ir1'
_symmetry_space_group_name_H-M 'P 1'
_symmetry_Int_Tables_number 1
_symmetry_space_group_name_Hall 'P 1'
_cell_length_a 4.3447
_cell_length_b 5.6641
_cell_length_c 5.6641
_cell_angle_alpha 40.61
_cell_angle_beta 90.00
_cell_angle_gamma 90.00
loop_
_atom_site_label
_atom_site_fract_x
_atom_site_fract_y
_atom_site_fract_z
_atom_site_occupancy
Dy1 0.0000 0.0000 0.0000 1
Y1 0.5000 0.2823 0.2823 1
Ga1 0.5000 0.5711 0.5711 1
Ir1 0.0000 0.7119 0.7119 1
```

The 10 most intense peaks (2θ from 10° to 90°), low angle first:
2theta  Rel. int.
20.44  25
31.83  100
33.75  22
34.07  43
39.78  38
40.06  80
41.57  32
46.18  24
54.80  23
62.56  20



2.
This entry pairs a crystal structure of NdUSeS2 with its calculated powder diffractogram. Radiation: Cu Kα (λ = 1.5418 Å). Structure: a PBE-relaxed structure.

Cell and atoms:
```
data_NdUSeS2
_chemical_formula_sum 'Nd1 U1 Se1 S2'
_symmetry_space_group_name_H-M 'P 1'
_symmetry_Int_Tables_number 1
_symmetry_space_group_name_Hall 'P 1'
_cell_length_a 7.4032
_cell_length_b 7.4032
_cell_length_c 7.4032
_cell_angle_alpha 145.54
_cell_angle_beta 145.54
_cell_angle_gamma 49.53
loop_
_atom_site_label
_atom_site_fract_x
_atom_site_fract_y
_atom_site_fract_z
_atom_site_occupancy
Nd1 0.0000 0.0000 0.0000 1
U1 0.2615 0.2615 0.0000 1
Se1 0.6299 0.6299 0.0000 1
S1 0.3743 0.8743 0.5000 1
S2 0.8743 0.3743 0.5000 1
```

The 10 most intense peaks (2θ from 10° to 90°), low angle first:
2theta  Rel. int.
21.31  48
28.48  100
28.79  51
39.30  27
39.54  37
41.17  36
46.81  13
50.82  41
58.22  18
70.61  14



3.
This entry pairs a crystal structure of CsBeTl2As2 with its calculated powder diffractogram. Radiation: Cu Kα (λ = 1.5418 Å). Structure: a PBE-relaxed structure.

Cell and atoms:
```
data_CsBeTl2As2
_chemical_formula_sum 'Cs2 Be2 Tl4 As4'
_symmetry_space_group_name_H-M 'P 1'
_symmetry_Int_Tables_number 1
_symmetry_space_group_name_Hall 'P 1'
_cell_length_a 8.2534
_cell_length_b 8.2534
_cell_length_c 8.2534
_cell_angle_alpha 117.61
_cell_angle_beta 84.81
_cell_angle_gamma 128.83
loop_
_atom_site_label
_atom_site_fract_x
_atom_site_fract_y
_atom_site_fract_z
_atom_site_occupancy
Cs1 0.2500 0.2500 0.0000 1
Cs2 0.7500 0.7500 0.0000 1
Be1 0.2500 0.7500 0.5000 1
Be2 0.7500 0.2500 0.5000 1
Tl1 0.1820 0.6750 0.8570 1
Tl2 0.3180 0.1750 0.4930 1
Tl3 0.6820 0.8250 0.5070 1
Tl4 0.8180 0.3250 0.1430 1
As1 0.0777 0.3621 0.4399 1
As2 0.4223 0.8621 0.2844 1
As3 0.5777 0.1379 0.7156 1
As4 0.9223 0.6379 0.5601 1
```

The 10 most intense peaks (2θ from 10° to 90°), low angle first:
2theta  Rel. int.
21.82  39
24.25  44
24.98  44
25.40  84
28.10  62
32.26  43
32.71  40
33.66  100
46.52  45
49.83  37



4.
This entry pairs a crystal structure of PmZn2Pd7 with its calculated powder diffractogram. Radiation: Cu Kα (λ = 1.5418 Å). Structure: a PBE-relaxed structure.

Cell and atoms:
```
data_PmZn2Pd7
_chemical_formula_sum 'Pm1 Zn2 Pd7'
_symmetry_space_group_name_H-M 'P 1'
_symmetry_Int_Tables_number 1
_symmetry_space_group_name_Hall 'P 1'
_cell_length_a 7.2132
_cell_length_b 7.2132
_cell_length_c 4.5295
_cell_angle_alpha 90.00
_cell_angle_beta 90.00
_cell_angle_gamma 119.58
loop_
_atom_site_label
_atom_site_fract_x
_atom_site_fract_y
_atom_site_fract_z
_atom_site_occupancy
Pm1 0.0000 0.0000 0.0000 1
Zn1 0.2996 0.7004 0.5000 1
Zn2 0.7004 0.2996 0.5000 1
Pd1 0.0676 0.3062 0.5000 1
Pd2 0.2199 0.7801 0.0000 1
Pd3 0.3062 0.0676 0.5000 1
Pd4 0.5000 0.5000 0.5000 1
Pd5 0.6938 0.9324 0.5000 1
Pd6 0.7801 0.2199 0.0000 1
Pd7 0.9324 0.6938 0.5000 1
```

The 10 most intense peaks (2θ from 10° to 90°), low angle first:
2theta  Rel. int.
14.12  40
19.60  39
24.24  45
31.59  39
34.94  58
38.06  79
39.80  66
43.00  77
43.25  100
56.24  50



5.
This entry pairs a crystal structure of Li2ScPt5 with its calculated powder diffractogram. Radiation: Cu Kα (λ = 1.5418 Å). Structure: a PBE-relaxed structure.

Cell and atoms:
```
data_Li2ScPt5
_chemical_formula_sum 'Li2 Sc1 Pt5'
_symmetry_space_group_name_H-M 'P 1'
_symmetry_Int_Tables_number 1
_symmetry_space_group_name_Hall 'P 1'
_cell_length_a 6.6098
_cell_length_b 5.5377
_cell_length_c 5.3671
_cell_angle_alpha 74.60
_cell_angle_beta 53.87
_cell_angle_gamma 51.52
loop_
_atom_site_label
_atom_site_fract_x
_atom_site_fract_y
_atom_site_fract_z
_atom_site_occupancy
Li1 0.2385 0.7615 0.2385 1
Li2 0.7615 0.2385 0.7615 1
Sc1 0.3175 0.3175 0.6825 1
Pt1 0.2456 0.2456 0.2544 1
Pt2 0.3132 0.8114 0.6868 1
Pt3 0.7456 0.7456 0.7544 1
Pt4 0.8114 0.3132 0.1887 1
Pt5 0.8146 0.8146 0.1854 1
```

The 10 most intense peaks (2θ from 10° to 90°), low angle first:
2theta  Rel. int.
18.59  19
27.00  45
31.86  17
37.14  18
37.70  19
39.41  36
42.24  100
42.74  34
73.40  20
81.24  17



6.
This entry pairs a crystal structure of BaPr2Hg4 with its calculated powder diffractogram. Radiation: Cu Kα (λ = 1.5418 Å). Structure: a PBE-relaxed structure.

Cell and atoms:
```
data_BaPr2Hg4
_chemical_formula_sum 'Ba1 Pr2 Hg4'
_symmetry_space_group_name_H-M 'P 1'
_symmetry_Int_Tables_number 1
_symmetry_space_group_name_Hall 'P 1'
_cell_length_a 5.5093
_cell_length_b 5.5093
_cell_length_c 7.5995
_cell_angle_alpha 90.00
_cell_angle_beta 90.00
_cell_angle_gamma 90.00
loop_
_atom_site_label
_atom_site_fract_x
_atom_site_fract_y
_atom_site_fract_z
_atom_site_occupancy
Ba1 0.0000 0.0000 0.0000 1
Pr1 0.0000 0.0000 0.5000 1
Pr2 0.5000 0.5000 0.0000 1
Hg1 0.0000 0.5000 0.2759 1
Hg2 0.0000 0.5000 0.7241 1
Hg3 0.5000 0.0000 0.2759 1
Hg4 0.5000 0.0000 0.7241 1
```

The 10 most intense peaks (2θ from 10° to 90°), low angle first:
2theta  Rel. int.
22.83  13
25.70  9
32.50  56
32.93  100
46.63  21
58.26  40
59.07  15
69.06  10
77.48  9
77.71  9